Starting from a cell relaxed with PBE+U, the powder XRD pattern of Ca3Fe2Re2O12 was simulated for λ = 1.5418 Å (Cu Kα).
Intensities are scaled so that the largest is 100.

Top 10 peaks for 5° ≤ 2θ ≤ 70°, by angle:
2theta  I_rel  h k l
19.77  55  0 1 -1
20.04  53  1 0 -1
22.97  100  1 -1 0
23.14  49  1 1 0
32.47  36  0 2 0
32.71  69  -1 1 2
32.84  69  1 1 -2
33.16  33  2 0 0
46.93  45  0 0 4
58.25  28  0 2 4

Structural model:
```
data_Ca3Fe2Re2O12
_chemical_formula_sum 'Ca3 Fe2 Re2 O12'
_cell_length_a 5.4033
_cell_length_b 5.5154
_cell_length_c 7.7395
_cell_angle_alpha 90.05
_cell_angle_beta 90.12
_cell_angle_gamma 90.45
_space_group_name_H-M_alt 'P 1'
_space_group_IT_number 1
loop_
_space_group_symop_operation_xyz
'x,y,z'
loop_
_atom_site_label
_atom_site_type_symbol
_atom_site_fract_x
_atom_site_fract_y
_atom_site_fract_z
Ca1 Ca 0.0000 0.0000 0.0000
Ca2 Ca 0.0151 0.9089 0.5022
Ca3 Ca 0.4952 0.4021 0.4999
Fe1 Fe 0.0069 0.4538 0.7551
Fe2 Fe 0.5071 0.9442 0.2483
Re1 Re 0.0035 0.4557 0.2448
Re2 Re 0.5115 0.9475 0.7586
O1 O 0.0758 0.4409 0.0102
O2 O 0.2087 0.1698 0.2923
O3 O 0.2233 0.1541 0.7137
O4 O 0.2864 0.6581 0.3026
O5 O 0.3062 0.6732 0.7007
O6 O 0.4308 0.9306 0.9941
O7 O 0.5843 0.9747 0.5073
O8 O 0.7160 0.2265 0.7894
O9 O 0.7289 0.2461 0.2182
O10 O 0.8035 0.7567 0.7841
O11 O 0.8191 0.7496 0.2183
O12 O 0.9232 0.4710 0.4961
```